No. 1
Starting from a DFT-relaxed cell (GGA+U, the Materials Project), the XRD peak list of Li8MnO4F2 was calculated for λ = 1.5418 Å (Cu Kα).
Intensities are scaled so that the largest is 100.

Main lines, most intense first (5° ≤ 2θ ≤ 70°):
two_theta, d (Å), intensity
19.2, 4.620, 100
36.3, 2.476, 100
21.4, 4.143, 57
36.6, 2.455, 45
57.2, 1.610, 36
47.0, 1.934, 29
16.6, 5.325, 27
21.6, 4.107, 27
33.5, 2.672, 19
57.3, 1.607, 18

```
30
Lattice="5.5675 0.0000 0.0000 2.7791 4.8320 0.0000 2.6528 1.5827 10.6504" Properties=species:S:1:pos:R:3 pbc="T T T"
Li 1.7973 1.6051 3.5178
Li 3.5247 4.7442 1.8167
Li 4.5077 3.1791 8.7704
Li 5.8466 4.8812 10.5125
Li 3.7900 1.5162 7.2551
Li 4.7048 3.2378 3.3503
Li 5.8191 4.5358 5.4131
Li 3.6964 1.7156 1.9836
Li 7.3030 4.6992 8.6668
Li 5.1803 1.8789 5.2373
Li 6.2946 3.1770 7.3000
Li 7.2094 4.8985 3.3952
Li 5.1528 1.5335 0.1378
Li 6.4917 3.2357 1.8800
Li 7.4747 1.6705 8.8337
Li 9.2020 4.8096 7.1325
Mn 2.7159 3.2074 5.3252
Mn 2.7837 0.0000 0.0000
O 3.7223 1.5292 9.3353
O 4.5154 3.2035 6.5931
O 3.6363 1.7145 4.0039
O 4.6391 3.2503 1.2770
O 6.3603 3.1644 9.3734
O 7.3630 4.7002 6.6464
O 6.4839 3.2112 4.0572
O 7.2770 4.8855 1.3151
F 3.6167 4.8283 3.7854
F 1.7791 1.5726 1.5184
F 9.2202 4.8422 9.1319
F 7.3826 1.5864 6.8650
```

=====

No. 2
Starting from a DFT-relaxed cell (GGA+U, the Materials Project), the XRD peak list of Li7MnO3F3 was calculated for λ = 1.5418 Å (Cu Kα).
Intensities are scaled so that the largest is 100.

Main lines, most intense first (5° ≤ 2θ ≤ 70°):
two_theta, d (Å), intensity
18.8, 4.719, 100
36.3, 2.475, 86
34.7, 2.585, 83
17.2, 5.150, 57
39.0, 2.312, 52
22.5, 3.943, 51
21.0, 4.237, 39
33.8, 2.654, 35
20.2, 4.400, 34
51.0, 1.790, 33

```
28
Lattice="5.7771 0.0000 0.0000 2.6272 5.4808 0.0000 0.3302 3.2039 8.7996" Properties=species:S:1:pos:R:3 pbc="T T T"
Li 0.0000 0.0000 0.0000
Li 2.7437 6.3747 2.9627
Li 1.9965 3.5017 5.4622
Li 2.0287 2.2339 2.4239
Li 3.4669 4.2415 1.9891
Li 4.2973 5.1910 4.9355
Li 2.8631 0.5440 1.2046
Li 5.6812 7.0820 4.3998
Li 5.7959 7.9780 7.3645
Li 4.7208 1.9000 1.0623
Li 5.0826 3.8341 6.8238
Li 6.5188 5.8429 6.3903
Li 7.0217 3.5910 0.5365
Li 5.9146 2.1430 5.6022
Mn 3.6137 6.2626 7.7126
Mn 6.3383 4.6630 3.3144
O 2.9531 2.5104 0.8533
O 4.7024 6.9868 6.0612
O 4.6237 5.8864 3.0649
O 6.0056 4.1102 5.2531
O 7.4258 5.3849 1.6611
O 7.6767 7.4879 7.4643
F 2.8125 3.3725 3.7293
F 3.2728 4.3416 6.5487
F 4.4407 4.9027 0.1536
F 5.8644 4.9754 8.1280
F 5.9962 2.7396 2.1489
F 7.4952 6.4907 4.5511
```

=====

No. 3
Starting from a DFT-relaxed cell (GGA+U, the Materials Project), the XRD peak list of LiMn2OF3 was calculated for λ = 1.5418 Å (Cu Kα).
Intensities are scaled so that the largest is 100.

Main lines, most intense first (5° ≤ 2θ ≤ 70°):
two_theta, d (Å), intensity
40.4, 2.234, 100
33.3, 2.689, 88
19.9, 4.467, 62
17.1, 5.190, 53
58.7, 1.572, 39
28.1, 3.173, 37
33.4, 2.680, 35
17.2, 5.148, 35
58.4, 1.580, 35
33.2, 2.696, 35

```
14
Lattice="5.4385 -3.1587 0.0000 5.4385 3.1587 0.0000 -3.6068 0.0000 5.1905" Properties=species:S:1:pos:R:3 pbc="T T T"
Li 0.0000 0.0000 0.0000
Li 3.6438 0.0000 4.8441
Mn 2.7055 1.6133 2.1996
Mn 0.0088 0.0000 4.4863
Mn 2.7055 -1.6133 2.1996
Mn 5.5010 0.0000 2.2052
O 3.6337 0.0000 1.2820
O 7.2669 0.0000 3.2128
F 6.3743 1.5265 0.7929
F 1.9006 0.0000 3.5924
F 4.5065 1.5153 3.5983
F 6.3743 -1.5265 0.7929
F 8.9999 0.0000 0.8068
F 4.5065 -1.5153 3.5983
```

=====

No. 4
Starting from a DFT-relaxed cell (GGA+U, the Materials Project), the XRD peak list of Li2MnO2F was calculated for λ = 1.5418 Å (Cu Kα).
Intensities are scaled so that the largest is 100.

Main lines, most intense first (5° ≤ 2θ ≤ 70°):
two_theta, d (Å), intensity
18.4, 4.827, 100
9.2, 9.653, 87
42.9, 2.107, 87
42.7, 2.119, 45
35.1, 2.558, 44
62.3, 1.491, 23
62.0, 1.498, 23
34.6, 2.594, 14
61.6, 1.506, 11
63.0, 1.475, 11

```
24
Lattice="2.5897 -4.5170 0.0000 2.5897 4.5170 0.0000 -1.6042 0.0000 9.6531" Properties=species:S:1:pos:R:3 pbc="T T T"
Li 0.0000 0.0000 0.0000
Li 0.9120 1.6202 2.3692
Li 0.0113 -0.0212 7.2928
Li 0.8798 -1.4063 2.4139
Li 2.6632 1.6202 7.2838
Li 2.5897 -1.4256 0.0000
Li 3.5639 -0.0212 2.3602
Li 2.6953 -1.4063 7.2392
Mn 1.7876 3.0700 4.8265
Mn 2.5897 1.7660 0.0000
Mn 1.7876 0.0312 4.8265
Mn 1.7876 -2.9979 4.8265
O 1.8196 3.0169 1.1484
O 0.2196 0.1039 3.6695
O 0.8317 1.4149 5.8895
O 1.7556 3.0169 8.5046
O 2.7434 1.4149 3.7636
O 1.0272 -1.3549 5.9619
O 2.5480 -1.3549 3.6912
O 3.3556 0.1039 5.9836
F 1.8458 0.1969 1.1156
F 1.7293 0.1969 8.5374
F 1.8222 -2.9662 1.2339
F 1.7530 -2.9662 8.4192
```

=====

No. 5
Starting from a DFT-relaxed cell (GGA+U, the Materials Project), the XRD peak list of Li2MnO2F was calculated for λ = 1.5418 Å (Cu Kα).
Intensities are scaled so that the largest is 100.

Main lines, most intense first (5° ≤ 2θ ≤ 70°):
two_theta, d (Å), intensity
6.1, 14.492, 100
18.4, 4.831, 59
12.2, 7.246, 34
40.5, 2.228, 33
44.2, 2.048, 24
44.4, 2.038, 24
62.1, 1.495, 15
33.6, 2.667, 14
61.0, 1.520, 8
61.3, 1.513, 8

```
12
Lattice="2.8675 0.0000 0.0000 1.4209 2.6858 0.0000 0.0284 0.9810 14.4922" Properties=species:S:1:pos:R:3 pbc="T T T"
Li 0.0000 0.0000 0.0000
Li 0.0142 0.4905 7.2461
Li 1.4150 1.0277 2.3293
Li 2.9017 2.6391 12.1629
Mn 1.4535 1.5611 9.7018
Mn 2.8632 2.1057 4.7904
O 1.4205 2.7999 3.6483
O 1.4361 1.4130 5.9321
O 2.8807 2.2538 8.5600
O 2.8962 0.8669 10.8438
F 1.4663 1.8199 13.3278
F 2.8505 1.8469 1.1644
```

=====

No. 6
Starting from a DFT-relaxed cell (GGA+U, the Materials Project), the XRD peak list of LiMnOF2 was calculated for λ = 1.5418 Å (Cu Kα).
Intensities are scaled so that the largest is 100.

Main lines, most intense first (5° ≤ 2θ ≤ 70°):
two_theta, d (Å), intensity
24.1, 3.692, 100
22.3, 3.980, 50
32.8, 2.729, 40
33.4, 2.685, 24
43.2, 2.094, 17
49.4, 1.846, 15
38.1, 2.364, 15
39.0, 2.309, 14
57.2, 1.611, 13
54.5, 1.685, 13

```
20
Lattice="4.6518 -2.7452 0.0000 4.6518 2.7452 0.0000 -4.1399 0.0000 8.5368" Properties=species:S:1:pos:R:3 pbc="T T T"
Li -0.3190 1.5756 7.2293
Li 3.4127 1.5756 5.5759
Li 1.7510 -1.5756 2.9609
Li 5.4826 -1.5756 1.3075
Mn 0.2559 1.3726 4.2684
Mn 3.6168 0.9612 2.1342
Mn 2.3259 -1.3726 0.0000
Mn 1.5468 -0.9612 6.4026
O 0.2763 0.2621 5.7987
O 2.3462 -0.2621 1.5303
O 2.8174 0.2621 7.0065
O 4.8874 -0.2621 2.7381
F -2.0175 0.3490 7.2398
F 2.2549 1.3329 4.0414
F 0.0525 -0.3490 2.9714
F 4.9788 1.3329 0.2270
F 0.1849 -1.3329 8.3098
F 5.1112 0.3490 5.5654
F 2.9088 -1.3329 4.4954
F 7.1811 -0.3490 1.2970
```

=====

No. 7
Starting from a DFT-relaxed cell (GGA+U, the Materials Project), the XRD peak list of Li3Mn5OF11 was calculated for λ = 1.5418 Å (Cu Kα).
Intensities are scaled so that the largest is 100.

Main lines, most intense first (5° ≤ 2θ ≤ 70°):
two_theta, d (Å), intensity
31.4, 2.853, 100
38.0, 2.369, 58
48.4, 1.882, 57
36.5, 2.462, 55
25.1, 3.546, 54
51.9, 1.760, 45
32.3, 2.771, 45
18.0, 4.923, 39
23.6, 3.776, 38
19.9, 4.455, 34

```
20
Lattice="5.4130 0.0000 0.0000 2.6743 5.0603 0.0000 0.1123 2.9331 8.9608" Properties=species:S:1:pos:R:3 pbc="T T T"
Li 0.0000 0.0000 0.0000
Li 0.9565 2.1855 3.1280
Li 5.1507 6.2027 7.7803
Mn 2.1139 3.4056 6.7094
Mn 2.9687 2.6676 0.8470
Mn 4.2188 3.9277 4.4206
Mn 6.0281 4.4463 2.2739
Mn 7.0257 6.4835 5.3767
O 5.8843 4.4515 3.9794
F 2.5017 3.1663 2.6273
F 1.8260 3.4362 8.4964
F 3.7421 6.1093 5.8366
F 3.9965 5.0311 1.7441
F 3.3504 5.5575 8.0133
F 2.6740 2.8013 4.9291
F 6.5586 7.3170 7.2222
F 4.9594 2.0085 1.2154
F 5.4707 3.9508 6.3306
F 4.7564 1.5276 3.5847
F 6.5662 3.7943 0.4648
```

=====

No. 8
Starting from a DFT-relaxed cell (GGA+U, the Materials Project), the XRD peak list of Li2Mn2OF6 was calculated for λ = 1.5418 Å (Cu Kα).
Intensities are scaled so that the largest is 100.

Main lines, most intense first (5° ≤ 2θ ≤ 70°):
two_theta, d (Å), intensity
12.7, 6.965, 100
29.2, 3.062, 54
31.7, 2.822, 29
19.8, 4.492, 25
21.6, 4.117, 18
32.9, 2.725, 18
32.4, 2.766, 13
52.5, 1.742, 13
40.1, 2.246, 13
52.6, 1.740, 13

```
22
Lattice="5.4940 0.0000 0.0000 -0.6193 6.9615 0.0000 -0.6194 -0.1105 6.9690" Properties=species:S:1:pos:R:3 pbc="T T T"
Li -0.0818 1.3113 3.3231
Li 1.5883 3.5491 5.6044
Li 2.6671 3.3020 1.3646
Li 4.3372 5.5398 3.6459
Mn -0.4126 5.2671 0.0603
Mn 1.9152 6.8849 1.7036
Mn 2.3401 -0.0339 5.2654
Mn 4.6679 1.5839 6.9087
O 0.7492 6.7956 0.1774
O 3.5061 0.0555 6.7916
F -0.5944 1.6899 5.0691
F -0.4753 4.8691 5.2544
F 1.0144 3.2130 0.1006
F 0.4955 6.8016 3.7441
F 1.9854 1.6925 2.0284
F 2.1073 1.8108 5.2021
F 2.1480 5.0403 1.7669
F 2.2699 5.1586 4.9406
F 3.7598 0.0495 3.2249
F 3.2410 3.6380 6.8684
F 4.7307 1.9819 1.7146
F 4.8498 5.1611 1.8999
```

=====

No. 9
Starting from a DFT-relaxed cell (GGA+U, the Materials Project), the XRD peak list of LiMn2O2F3 was calculated for λ = 1.5418 Å (Cu Kα).
Intensities are scaled so that the largest is 100.

Main lines, most intense first (5° ≤ 2θ ≤ 70°):
two_theta, d (Å), intensity
8.9, 9.921, 100
24.3, 3.658, 72
17.6, 5.051, 33
46.3, 1.962, 32
33.0, 2.715, 26
19.4, 4.580, 23
31.7, 2.822, 22
30.6, 2.923, 20
17.9, 4.961, 13
35.1, 2.556, 12

```
16
Lattice="5.0559 -1.9621 0.0000 5.0559 1.9621 0.0000 -0.4184 0.0000 9.9212" Properties=species:S:1:pos:R:3 pbc="T T T"
Li 0.0000 0.0000 0.0000
Li 6.7374 0.0000 1.6112
Mn -0.0920 0.0000 3.6592
Mn 0.3983 0.0000 6.7411
Mn 6.8805 0.0000 8.5633
Mn 7.2201 0.0000 5.1015
O 1.6578 0.0000 5.1633
O 1.5576 0.0000 8.2974
O 5.9773 0.0000 6.7853
O 9.2184 0.0000 5.3451
F 0.8252 0.0000 1.9516
F 5.3763 0.0000 3.6807
F 5.1979 0.0000 9.8710
F 8.0322 0.0000 3.1326
F 8.2045 0.0000 0.3433
F 8.9730 0.0000 7.9233
```

=====

No. 10
Starting from a DFT-relaxed cell (GGA+U, the Materials Project), the XRD peak list of Li4Mn3O3F9 was calculated for λ = 1.5418 Å (Cu Kα).
Intensities are scaled so that the largest is 100.

Main lines, most intense first (5° ≤ 2θ ≤ 70°):
two_theta, d (Å), intensity
14.5, 6.094, 100
19.6, 4.535, 78
25.5, 3.492, 57
24.0, 3.710, 51
30.8, 2.906, 49
32.2, 2.782, 47
31.0, 2.882, 41
33.9, 2.648, 32
33.0, 2.714, 23
53.0, 1.727, 23

```
19
Lattice="5.6657 0.0000 0.0000 -0.7116 5.8143 0.0000 -1.0339 -1.0550 6.0936" Properties=species:S:1:pos:R:3 pbc="T T T"
Li 0.0000 0.0000 0.0000
Li 0.3384 1.0675 3.5289
Li 1.1375 4.7359 4.5084
Li 2.8728 1.8444 4.9778
Mn 1.1921 3.3872 0.8906
Mn 3.3305 1.0179 1.7577
Mn 4.1286 3.9163 2.8599
O 0.2873 3.6902 2.4409
O 2.9504 2.9708 1.6134
O 4.6606 -0.2910 2.0114
F -0.4176 3.7767 0.0033
F -0.7370 5.0004 4.3698
F 0.8651 1.5578 1.0331
F 0.9372 2.0121 5.2346
F 1.5919 5.1895 0.6333
F 2.2098 0.5944 3.2884
F 2.7000 3.8606 4.1237
F 2.9634 0.1045 6.0086
F 4.3550 2.0167 3.4925
```